Record 1
The following is a calculated X-ray diffraction stick pattern of Ba2DyPt3O12. It was derived from the GGA-PBE geometry in Alexandria, using copper Kα.
No peak broadening, texture or thermal motion is included.

Peak list (10 most intense, 10 to 80 degrees two-theta, in order of rising 2θ)
2θ = 14.91°, 5.943 Å, intensity 29.9; 2θ = 15.51°, 5.713 Å, intensity 27.8; 2θ = 28.66°, 3.115 Å, intensity 82.6; 2θ = 28.99°, 3.081 Å, intensity 100.0; 2θ = 29.63°, 3.015 Å, intensity 55.0; 2θ = 30.08°, 2.971 Å, intensity 93.2; 2θ = 45.81°, 1.981 Å, intensity 29.8; 2θ = 46.25°, 1.963 Å, intensity 29.0; 2θ = 49.86°, 1.829 Å, intensity 57.7; 2θ = 51.50°, 1.775 Å, intensity 38.3

Cell and atoms:
Lattice parameters (Å, degrees): 7.105 7.105 7.105 61.98 61.98 61.98
Positions (direct):
Ba (0.115, 0.115, 0.115)
Ba (0.885, 0.885, 0.885)
Dy (0.500, 0.500, 0.500)
Pt (0.000, 0.500, 0.500)
Pt (0.500, 0.000, 0.500)
Pt (0.500, 0.500, 0.000)
O (0.110, 0.616, 0.616)
O (0.194, 0.194, 0.625)
O (0.194, 0.625, 0.194)
O (0.375, 0.806, 0.806)
O (0.384, 0.384, 0.890)
O (0.384, 0.890, 0.384)
O (0.616, 0.110, 0.616)
O (0.616, 0.616, 0.110)
O (0.625, 0.194, 0.194)
O (0.806, 0.375, 0.806)
O (0.806, 0.806, 0.375)
O (0.890, 0.384, 0.384)

***

Record 2
The following is a calculated X-ray diffraction stick pattern of Ac3Nd2Pt4. It was derived from the GGA-PBE geometry in Alexandria, using copper Kα.
No peak broadening, texture or thermal motion is included.

Peak list (10 most intense, 10 to 80 degrees two-theta, in order of rising 2θ)
2θ = 28.30°, 3.153 Å, intensity 100.0; 2θ = 31.49°, 2.841 Å, intensity 44.0; 2θ = 39.33°, 2.291 Å, intensity 11.4; 2θ = 41.56°, 2.173 Å, intensity 54.9; 2θ = 43.78°, 2.068 Å, intensity 41.1; 2θ = 51.04°, 1.789 Å, intensity 20.1; 2θ = 61.94°, 1.498 Å, intensity 14.9; 2θ = 67.85°, 1.381 Å, intensity 17.3; 2θ = 69.38°, 1.355 Å, intensity 21.3; 2θ = 77.37°, 1.233 Å, intensity 15.8

Cell and atoms:
Lattice parameters (Å, degrees): 4.346 4.346 17.323 90.04 90.04 60.01
Positions (direct):
Ac (0.000, 0.000, 0.000)
Ac (0.334, 0.334, 0.389)
Ac (0.666, 0.666, 0.611)
Nd (0.333, 0.333, 0.803)
Nd (0.667, 0.667, 0.197)
Pt (0.000, 0.000, 0.298)
Pt (0.000, 0.000, 0.702)
Pt (0.334, 0.334, 0.105)
Pt (0.666, 0.666, 0.895)